Starting from a DFT-relaxed cell (GGA-PBE, Alexandria), the powder X-ray diffraction pattern of DySnPd5 was simulated for Cu Kα (λ = 1.5418 Å).

Structure:
abc: 4.1223 4.1223 7.5904
angles: 90.00 90.00 90.00
Space group P4/mmm (No. 123)
Unique sites:
Dy 0.0000 0.0000 0.0000
Sn 0.5000 0.5000 0.5000
Pd 0.0000 0.5000 0.2731
Pd 0.5000 0.5000 0.0000

Principal peaks in the range 2θ from 15° to 90°, by angle:
- 2θ 24.6, d 3.623, I = 151, (1 0 1)
- 2θ 32.9, d 2.721, I = 107, (1 1 1)
- 2θ 39.0, d 2.312, I = 1000, (1 1 2)
- 2θ 43.9, d 2.061, I = 371, (2 0 0)
- 2θ 47.9, d 1.898, I = 120, (0 0 4)
- 2θ 63.9, d 1.457, I = 121, (2 2 0)
- 2θ 67.0, d 1.396, I = 175, (2 0 4)
- 2θ 77.4, d 1.233, I = 265, (3 1 2)
- 2θ 83.3, d 1.160, I = 77, (1 1 6)
- 2θ 83.7, d 1.156, I = 96, (2 2 4)

---

Starting from a DFT-relaxed cell (GGA-PBE, Alexandria), the powder X-ray diffraction pattern of Dy3TaPd12 was simulated for Cu Kα (λ = 1.5418 Å).

Structure:
abc: 4.0807 4.0807 16.3222
angles: 90.00 90.00 90.00
Space group P4/mmm (No. 123)
Unique sites:
Dy 0.0000 0.0000 0.0000
Dy 0.0000 0.0000 0.2504
Ta 0.0000 0.0000 0.5000
Pd 0.0000 0.5000 0.1280
Pd 0.0000 0.5000 0.3860
Pd 0.5000 0.5000 0.0000
Pd 0.5000 0.5000 0.2575
Pd 0.5000 0.5000 0.5000

Principal peaks in the range 2θ from 15° to 90°, by angle:
- 2θ 21.8, d 4.081, I = 42, (0 0 4)
- 2θ 31.0, d 2.885, I = 36, (1 0 4)
- 2θ 38.2, d 2.356, I = 1000, (1 1 4)
- 2θ 44.4, d 2.040, I = 485, (2 0 0)
- 2θ 50.0, d 1.825, I = 22, (1 0 8)
- 2θ 55.1, d 1.666, I = 18, (1 1 8)
- 2θ 64.6, d 1.443, I = 304, (2 2 0)
- 2θ 69.0, d 1.360, I = 12, (0 0 12)
- 2θ 77.6, d 1.230, I = 350, (3 1 4)
- 2θ 81.8, d 1.178, I = 101, (2 2 8)

---

Starting from a DFT-relaxed cell (GGA-PBE, Alexandria), the powder X-ray diffraction pattern of DyTaPd was simulated for Cu Kα (λ = 1.5418 Å).

Structure:
abc: 4.6855 4.6963 11.1587
angles: 90.00 90.00 90.00
Space group Cmmm (No. 65)
Unique sites:
Dy 0.0000 0.0000 0.1685
Ta 0.0000 0.5000 0.3618
Pd 0.0000 0.0000 0.5000
Pd 0.0000 0.5000 0.0000

Principal peaks in the range 2θ from 15° to 90°, by angle:
- 2θ 28.1, d 3.179, I = 78, (1 1 1)
- 2θ 36.3, d 2.476, I = 1000, (1 1 3)
- 2θ 38.4, d 2.345, I = 482, (2 0 0)
- 2θ 49.0, d 1.860, I = 75, (0 0 6)
- 2θ 50.9, d 1.795, I = 40, (2 0 4)
- 2θ 55.4, d 1.658, I = 167, (2 2 0)
- 2θ 63.9, d 1.457, I = 134, (2 0 6)
- 2θ 68.0, d 1.379, I = 160, (1 3 3)
- 2θ 68.1, d 1.377, I = 159, (3 1 3)
- 2θ 77.0, d 1.238, I = 78, (2 2 6)

---

Starting from a DFT-relaxed cell (GGA-PBE, Alexandria), the powder X-ray diffraction pattern of TbDy2Pd was simulated for Cu Kα (λ = 1.5418 Å).

Structure:
abc: 7.0339 9.7043 6.4686
angles: 90.00 90.00 90.00
Space group Pnma (No. 62)
Unique sites:
Tb 0.0225 0.2500 0.1329
Dy 0.1809 0.0595 0.6744
Pd 0.1113 0.7500 0.4390

Principal peaks in the range 2θ from 15° to 90°, by angle:
- 2θ 30.4, d 2.942, I = 911, (1 0 2)
- 2θ 30.9, d 2.893, I = 932, (0 3 1)
- 2θ 31.4, d 2.848, I = 836, (2 2 0)
- 2θ 31.8, d 2.812, I = 1000, (1 1 2)
- 2θ 33.5, d 2.676, I = 543, (1 3 1)
- 2θ 34.4, d 2.606, I = 684, (2 2 1)
- 2θ 35.7, d 2.514, I = 458, (1 2 2)
- 2θ 37.8, d 2.381, I = 463, (2 3 0)
- 2θ 56.2, d 1.637, I = 345, (3 3 2)
- 2θ 56.9, d 1.619, I = 514, (0 6 0)

---

Starting from a DFT-relaxed cell (GGA-PBE, Alexandria), the powder X-ray diffraction pattern of Tb4Dy3Pd4 was simulated for Cu Kα (λ = 1.5418 Å).

Structure:
abc: 3.8342 9.2095 15.8577
angles: 90.00 90.00 90.00
Space group Immm (No. 71)
Unique sites:
Tb 0.0000 0.1858 0.1609
Dy 0.0000 0.0000 0.3919
Dy 0.0000 0.5000 0.5000
Pd 0.0000 0.3327 0.0000
Pd 0.0000 0.5000 0.2539

Principal peaks in the range 2θ from 15° to 90°, by angle:
- 2θ 28.8, d 3.104, I = 135, (1 0 3)
- 2θ 29.8, d 2.999, I = 165, (0 1 5)
- 2θ 30.9, d 2.897, I = 774, (1 2 1)
- 2θ 33.8, d 2.655, I = 636, (0 3 3)
- 2θ 33.9, d 2.641, I = 1000, (1 1 4)
- 2θ 36.8, d 2.444, I = 129, (1 0 5)
- 2θ 39.3, d 2.293, I = 466, (0 2 6)
- 2θ 47.4, d 1.917, I = 246, (2 0 0)
- 2θ 59.5, d 1.554, I = 286, (2 3 3)
- 2θ 60.5, d 1.531, I = 255, (1 5 4)

---

Starting from a DFT-relaxed cell (GGA-PBE, Alexandria), the powder X-ray diffraction pattern of Tb3Dy4Pd4 was simulated for Cu Kα (λ = 1.5418 Å).

Structure:
abc: 4.6425 7.7280 15.4530
angles: 90.00 90.00 90.00
Space group Immm (No. 71)
Unique sites:
Tb 0.0000 0.0000 0.0000
Tb 0.0000 0.5000 0.1034
Dy 0.0000 0.2874 0.3293
Pd 0.0000 0.0000 0.2079
Pd 0.0000 0.1802 0.5000

Principal peaks in the range 2θ from 15° to 90°, by angle:
- 2θ 30.7, d 2.917, I = 1000, (1 2 1)
- 2θ 31.2, d 2.870, I = 287, (0 1 5)
- 2θ 32.3, d 2.772, I = 536, (1 1 4)
- 2θ 34.9, d 2.573, I = 555, (0 0 6)
- 2θ 38.8, d 2.321, I = 412, (2 0 0)
- 2θ 39.1, d 2.304, I = 186, (0 3 3)
- 2θ 41.8, d 2.162, I = 231, (1 3 2)
- 2θ 42.2, d 2.142, I = 320, (0 2 6)
- 2θ 50.6, d 1.805, I = 149, (2 1 5)
- 2θ 65.2, d 1.430, I = 144, (3 2 1)

---

Starting from a DFT-relaxed cell (GGA-PBE, Alexandria), the powder X-ray diffraction pattern of Dy3TePd was simulated for Cu Kα (λ = 1.5418 Å).

Structure:
abc: 21.7784 4.0818 6.1945
angles: 90.00 99.05 90.00
Space group C2/m (No. 12)
Unique sites:
Dy 0.0011 0.0000 0.2549
Dy 0.1360 0.5000 0.5776
Dy 0.1987 0.0000 0.1279
Te 0.0870 0.5000 0.0472
Pd 0.2277 0.0000 0.6467

Principal peaks in the range 2θ from 15° to 90°, by angle:
- 2θ 30.2, d 2.962, I = 1000, (5 1 0)
- 2θ 31.3, d 2.859, I = 336, (4 0 -2)
- 2θ 31.6, d 2.827, I = 201, (2 0 2)
- 2θ 35.1, d 2.559, I = 123, (5 1 1)
- 2θ 37.3, d 2.411, I = 233, (3 1 -2)
- 2θ 37.5, d 2.398, I = 283, (1 1 2)
- 2θ 37.7, d 2.384, I = 153, (7 1 -1)
- 2θ 44.4, d 2.041, I = 244, (0 2 0)
- 2θ 49.9, d 1.829, I = 115, (9 1 -2)
- 2θ 55.3, d 1.661, I = 135, (4 2 -2)

---

Starting from a DFT-relaxed cell (GGA-PBE, Alexandria), the powder X-ray diffraction pattern of Dy2TePd8 was simulated for Cu Kα (λ = 1.5418 Å).

Structure:
abc: 4.7867 5.9272 14.3864
angles: 90.00 90.00 90.00
Space group Immm (No. 71)
Unique sites:
Dy 0.0000 0.0000 0.1862
Te 0.0000 0.0000 0.5000
Pd 0.0000 0.2545 0.0000
Pd 0.0000 0.2597 0.3588
Pd 0.0000 0.5000 0.1860

Principal peaks in the range 2θ from 15° to 90°, by angle:
- 2θ 23.9, d 3.727, I = 131, (0 1 3)
- 2θ 32.7, d 2.740, I = 86, (0 2 2)
- 2θ 36.4, d 2.466, I = 219, (1 0 5)
- 2θ 37.6, d 2.395, I = 555, (2 0 0)
- 2θ 40.4, d 2.231, I = 1000, (1 2 3)
- 2θ 54.1, d 1.694, I = 138, (2 0 6)
- 2θ 60.2, d 1.537, I = 87, (0 2 8)
- 2θ 69.7, d 1.349, I = 249, (3 2 3)
- 2θ 73.2, d 1.294, I = 119, (2 2 8)
- 2θ 75.4, d 1.260, I = 151, (2 4 0)

---

Starting from a DFT-relaxed cell (GGA-PBE, Alexandria), the powder X-ray diffraction pattern of Dy4Te2Pd was simulated for Cu Kα (λ = 1.5418 Å).

Structure:
abc: 15.8776 4.1283 7.0605
angles: 90.00 116.29 90.00
Space group C2/m (No. 12)
Unique sites:
Dy 0.1032 0.0000 0.4458
Dy 0.1063 0.5000 0.9354
Te 0.2474 0.5000 0.7411
Pd 0.0000 0.0000 0.0000

Principal peaks in the range 2θ from 15° to 90°, by angle:
- 2θ 28.0, d 3.188, I = 1000, (1 1 1)
- 2θ 28.2, d 3.161, I = 505, (4 0 -2)
- 2θ 35.7, d 2.517, I = 772, (5 1 -1)
- 2θ 35.8, d 2.508, I = 362, (2 0 2)
- 2θ 37.9, d 2.372, I = 113, (6 0 0)
- 2θ 43.9, d 2.064, I = 223, (0 2 0)
- 2θ 44.3, d 2.045, I = 426, (3 1 -3)
- 2θ 45.9, d 1.975, I = 131, (5 1 1)
- 2θ 53.0, d 1.728, I = 177, (4 2 -2)
- 2θ 57.9, d 1.593, I = 262, (2 2 2)

---

Starting from a DFT-relaxed cell (GGA-PBE, Alexandria), the powder X-ray diffraction pattern of Dy2TiPd8 was simulated for Cu Kα (λ = 1.5418 Å).

Structure:
abc: 15.5407 4.5113 6.0191
angles: 90.00 111.53 90.00
Space group C2/m (No. 12)
Unique sites:
Dy 0.2003 0.0000 0.1954
Ti 0.0000 0.5000 0.5000
Pd 0.0021 0.0000 0.2405
Pd 0.1261 0.5000 0.8979
Pd 0.1320 0.5000 0.3654
Pd 0.1675 0.0000 0.6675

Principal peaks in the range 2θ from 15° to 90°, by angle:
- 2θ 32.0, d 2.800, I = 195, (0 0 2)
- 2θ 32.5, d 2.756, I = 225, (4 0 -2)
- 2θ 35.4, d 2.537, I = 172, (5 1 -1)
- 2θ 36.9, d 2.434, I = 821, (5 1 0)
- 2θ 37.3, d 2.409, I = 219, (6 0 0)
- 2θ 40.0, d 2.256, I = 668, (0 2 0)
- 2θ 40.3, d 2.238, I = 1000, (1 1 2)
- 2θ 40.9, d 2.205, I = 867, (5 1 -2)
- 2θ 74.8, d 1.269, I = 208, (10 2 -2)
- 2θ 76.0, d 1.252, I = 177, (4 2 -4)

---

Starting from a DFT-relaxed cell (GGA-PBE, Alexandria), the powder X-ray diffraction pattern of Dy3Tl2Pd8 was simulated for Cu Kα (λ = 1.5418 Å).

Structure:
abc: 5.4498 5.4498 30.8049
angles: 90.00 90.00 120.00
Space group R-3m (No. 166, hexagonal axes)
Unique sites:
Dy 0.0000 0.0000 0.0000
Dy 0.0000 0.0000 0.1900
Tl 0.0000 0.0000 0.3671
Pd 0.0000 0.0000 0.2803
Pd 0.0041 0.5020 0.7734

Principal peaks in the range 2θ from 15° to 90°, by angle:
- 2θ 23.7, d 3.747, I = 174, (0 1 5)
- 2θ 32.9, d 2.725, I = 530, (1 1 0)
- 2θ 34.0, d 2.634, I = 201, (1 1 3)
- 2θ 37.3, d 2.408, I = 1000, (0 1 11)
- 2θ 38.6, d 2.333, I = 388, (2 0 2)
- 2θ 41.0, d 2.204, I = 324, (2 0 5)
- 2θ 43.5, d 2.080, I = 156, (0 2 7)
- 2θ 61.6, d 1.504, I = 402, (1 2 11)
- 2θ 68.9, d 1.362, I = 243, (2 2 0)
- 2θ 81.1, d 1.186, I = 154, (3 1 11)

---

Question: Which formula does entry 5 have?
Answer: Tb4Dy3Pd4

---

Please write out number 7 again, unchanged.
Starting from a DFT-relaxed cell (GGA-PBE, Alexandria), the powder X-ray diffraction pattern of Dy3TePd was simulated for Cu Kα (λ = 1.5418 Å).

Structure:
abc: 21.7784 4.0818 6.1945
angles: 90.00 99.05 90.00
Space group C2/m (No. 12)
Unique sites:
Dy 0.0011 0.0000 0.2549
Dy 0.1360 0.5000 0.5776
Dy 0.1987 0.0000 0.1279
Te 0.0870 0.5000 0.0472
Pd 0.2277 0.0000 0.6467

Principal peaks in the range 2θ from 15° to 90°, by angle:
- 2θ 30.2, d 2.962, I = 1000, (5 1 0)
- 2θ 31.3, d 2.859, I = 336, (4 0 -2)
- 2θ 31.6, d 2.827, I = 201, (2 0 2)
- 2θ 35.1, d 2.559, I = 123, (5 1 1)
- 2θ 37.3, d 2.411, I = 233, (3 1 -2)
- 2θ 37.5, d 2.398, I = 283, (1 1 2)
- 2θ 37.7, d 2.384, I = 153, (7 1 -1)
- 2θ 44.4, d 2.041, I = 244, (0 2 0)
- 2θ 49.9, d 1.829, I = 115, (9 1 -2)
- 2θ 55.3, d 1.661, I = 135, (4 2 -2)